No. 1
Tb7Y12Cd: computed X-ray diffraction stick pattern (a wavelength of 1.5418 Å), based on DFT lattice parameters and positions (PBE).

Crystal structure
a = 13.4424 Å, b = 13.4424 Å, c = 12.1923 Å
α = 90.00°, β = 90.00°, γ = 120.00°
Space group R-3m (No. 166, hexagonal axes)
Unique sites:
Tb 0.0000 0.0000 0.0000 (multiplicity 3)
Tb 0.0525 0.5262 0.1205 (multiplicity 18)
Y 0.0000 0.2606 0.0000 (multiplicity 18)
Y 0.0876 0.1752 0.7590 (multiplicity 18)
Cd 0.0000 0.0000 0.5000 (multiplicity 3)

Top 10 peaks for 2θ = 10–90°, sorted by position:
2θ (°)  I (rel.)  (hkl)
30.3  61  1 0 4
31.4  72  3 1 2
31.6  100  4 0 1
31.9  87  0 3 3
34.1  34  0 4 2
34.4  37  3 2 1
36.7  30  2 3 2
50.7  29  3 0 6
56.8  37  4 3 4
57.4  23  0 7 2



No. 2
Tb5Y2Cd: computed X-ray diffraction stick pattern (a wavelength of 1.5418 Å), based on DFT lattice parameters and positions (PBE).

Crystal structure
a = 7.016 Å, b = 7.016 Å, c = 9.896 Å
α = 90.00°, β = 90.00°, γ = 90.00°
Space group I4/mmm (No. 139)
Unique sites:
Tb 0.000 0.000 0.000 (multiplicity 2)
Tb 0.250 0.250 0.250 (multiplicity 8)
Y 0.000 0.500 0.000 (multiplicity 4)
Cd 0.000 0.000 0.500 (multiplicity 2)

Top 10 peaks for 2θ = 10–90°, sorted by position:
2θ (°)  I (rel.)  (hkl)
31.3  100  2 0 2
36.2  50  2 2 0
52.2  35  4 0 0
62.1  28  4 2 2
62.2  14  2 0 6
65.2  12  4 0 4
85.3  6  6 0 2
85.4  12  4 2 6
88.1  11  6 2 0
88.3  5  2 2 8



No. 3
Tb3Y3Cd: computed X-ray diffraction stick pattern (a wavelength of 1.5418 Å), based on DFT lattice parameters and positions (PBE).

Crystal structure
a = 9.4169 Å, b = 9.4169 Å, c = 5.5489 Å
α = 90.00°, β = 90.00°, γ = 120.00°
Space group P6_3/m (No. 176)
Unique sites:
Tb 0.0635 0.8208 0.2500 (multiplicity 6)
Y 0.1072 0.6284 0.7500 (multiplicity 6)
Cd 0.3333 0.6667 0.2500 (multiplicity 2)

Top 10 peaks for 2θ = 10–90°, sorted by position:
2θ (°)  I (rel.)  (hkl)
29.0  24  1 2 0
32.3  25  0 0 2
33.2  100  1 2 1
43.9  15  1 2 2
51.3  18  4 1 0
58.2  20  1 2 3
61.9  21  4 1 2
62.5  15  2 4 1
85.1  11  7 0 1
89.6  8  4 1 4



No. 4
Tb14YCd: computed X-ray diffraction stick pattern (a wavelength of 1.5418 Å), based on DFT lattice parameters and positions (PBE).

Crystal structure
a = 11.298 Å, b = 7.169 Å, c = 12.420 Å
α = 90.00°, β = 90.00°, γ = 90.00°
Space group Amm2 (No. 38)
Unique sites:
Tb 0.000 0.000 0.000 (multiplicity 2)
Tb 0.000 0.000 0.498 (multiplicity 2)
Tb 0.000 0.247 0.250 (multiplicity 4)
Tb 0.245 0.000 0.666 (multiplicity 4)
Tb 0.256 0.249 0.916 (multiplicity 8)
Tb 0.258 0.000 0.166 (multiplicity 4)
Tb 0.500 0.240 0.747 (multiplicity 4)
Y 0.500 0.000 0.505 (multiplicity 2)
Cd 0.500 0.000 0.999 (multiplicity 2)

Top 10 peaks for 2θ = 10–90°, sorted by position:
2θ (°)  I (rel.)  (hkl)
28.8  24  0 0 4
31.7  24  4 0 0
32.9  100  2 2 2
43.3  16  4 0 4
50.9  19  0 2 6
57.2  20  6 2 2
61.2  22  4 2 6
62.0  16  2 0 8
84.3  14  2 4 8
88.0  8  8 2 6



No. 5
Tb6YCd: computed X-ray diffraction stick pattern (a wavelength of 1.5418 Å), based on DFT lattice parameters and positions (PBE).

Crystal structure
a = 9.2886 Å, b = 9.2886 Å, c = 10.0454 Å
α = 90.00°, β = 90.00°, γ = 120.00°
Space group R-3 (No. 148, hexagonal axes)
Unique sites:
Tb 0.0247 0.2576 0.2165 (multiplicity 18)
Y 0.0000 0.0000 0.5000 (multiplicity 3)
Cd 0.0000 0.0000 0.0000 (multiplicity 3)

Top 10 peaks for 2θ = 10–90°, sorted by position:
2θ (°)  I (rel.)  (hkl)
26.6  17  0 0 3
28.4  26  2 0 2
30.7  100  2 1 1
33.0  54  1 1 3
33.4  18  3 0 0
34.5  72  3 -2 2
37.5  15  1 0 4
50.3  17  3 2 1
52.1  20  1 4 0
58.6  16  2 -1 6



No. 6
Tb5Y4Cd: computed X-ray diffraction stick pattern (a wavelength of 1.5418 Å), based on DFT lattice parameters and positions (PBE).

Crystal structure
a = 3.580 Å, b = 3.580 Å, c = 24.253 Å
α = 90.00°, β = 90.00°, γ = 90.00°
Space group P4/mmm (No. 123)
Unique sites:
Tb 0.000 0.000 0.000 (multiplicity 1)
Tb 0.000 0.000 0.208 (multiplicity 2)
Tb 0.000 0.000 0.415 (multiplicity 2)
Y 0.500 0.500 0.104 (multiplicity 2)
Y 0.500 0.500 0.311 (multiplicity 2)
Cd 0.500 0.500 0.500 (multiplicity 1)

Top 10 peaks for 2θ = 10–90°, sorted by position:
2θ (°)  I (rel.)  (hkl)
31.1  100  1 0 5
35.5  38  1 1 0
37.1  12  0 0 10
51.0  13  2 0 0
52.2  18  1 1 10
60.9  29  2 1 5
63.1  6  1 0 15
64.7  9  2 0 10
83.4  6  3 0 5
85.9  6  3 1 0



No. 7
TbY2Cd4: computed X-ray diffraction stick pattern (a wavelength of 1.5418 Å), based on DFT lattice parameters and positions (PBE).

Crystal structure
a = 5.357 Å, b = 5.357 Å, c = 13.706 Å
α = 90.00°, β = 90.00°, γ = 90.00°
Space group I4/mmm (No. 139)
Unique sites:
Tb 0.000 0.000 0.000 (multiplicity 2)
Y 0.000 0.000 0.261 (multiplicity 4)
Cd 0.000 0.500 0.115 (multiplicity 8)

Top 10 peaks for 2θ = 10–90°, sorted by position:
2θ (°)  I (rel.)  (hkl)
17.8  19  1 0 1
25.6  15  1 0 3
33.5  61  2 0 0
35.3  100  1 1 4
48.0  22  2 2 0
61.0  39  3 1 4
64.6  14  2 0 8
74.7  9  2 2 8
80.1  9  4 2 0
81.2  10  3 3 4



No. 8
Tb2Y7Cd2: computed X-ray diffraction stick pattern (a wavelength of 1.5418 Å), based on DFT lattice parameters and positions (PBE).

Crystal structure
a = 9.148 Å, b = 9.544 Å, c = 8.077 Å
α = 90.00°, β = 104.11°, γ = 90.00°
Space group C2/m (No. 12)
Unique sites:
Tb 0.000 0.177 0.000 (multiplicity 4)
Y 0.000 0.000 0.500 (multiplicity 2)
Y 0.181 0.298 0.676 (multiplicity 8)
Y 0.191 0.500 0.038 (multiplicity 4)
Cd 0.103 0.500 0.361 (multiplicity 4)

Top 10 peaks for 2θ = 10–90°, sorted by position:
2θ (°)  I (rel.)  (hkl)
26.4  15  2 0 -2
31.1  52  1 3 -1
31.6  100  2 2 1
32.5  36  2 2 -2
34.3  28  0 0 3
34.6  21  3 1 -2
39.4  31  4 0 -1
44.1  13  1 3 -3
57.5  15  3 5 0
59.3  17  2 2 4



No. 9
Tb2Zn3Cd3: computed X-ray diffraction stick pattern (a wavelength of 1.5418 Å), based on DFT lattice parameters and positions (PBE).

Crystal structure
a = 4.8919 Å, b = 4.8919 Å, c = 24.0113 Å
α = 90.00°, β = 90.00°, γ = 120.00°
Space group R3m (No. 160, hexagonal axes)
Unique sites:
Tb 0.0000 0.0000 0.0000 (multiplicity 3)
Tb 0.0000 0.0000 0.4909 (multiplicity 3)
Zn 0.0000 0.0000 0.1217 (multiplicity 3)
Zn 0.0000 0.0000 0.3680 (multiplicity 3)
Zn 0.0000 0.0000 0.8719 (multiplicity 3)
Cd 0.0000 0.0000 0.2422 (multiplicity 3)
Cd 0.0000 0.0000 0.6189 (multiplicity 3)
Cd 0.0000 0.0000 0.7476 (multiplicity 3)

Top 10 peaks for 2θ = 10–90°, sorted by position:
2θ (°)  I (rel.)  (hkl)
22.2  3  0 1 2
25.7  8  1 0 4
36.7  100  1 1 0
52.9  17  2 0 8
59.7  3  2 1 4
66.1  25  1 2 8
66.2  9  3 0 0
78.0  5  0 2 16
78.2  5  2 2 0
89.6  15  3 1 8



No. 10
Tb4ZnCd3: computed X-ray diffraction stick pattern (a wavelength of 1.5418 Å), based on DFT lattice parameters and positions (PBE).

Crystal structure
a = 3.583 Å, b = 4.839 Å, c = 12.011 Å
α = 90.00°, β = 90.00°, γ = 90.00°
Space group Pmm2 (No. 25)
Unique sites:
Tb 0.000 0.000 0.000 (multiplicity 1)
Tb 0.000 0.500 0.307 (multiplicity 1)
Tb 0.500 0.000 0.485 (multiplicity 1)
Tb 0.500 0.500 0.814 (multiplicity 1)
Zn 0.500 0.000 0.226 (multiplicity 1)
Cd 0.000 0.000 0.724 (multiplicity 1)
Cd 0.000 0.500 0.579 (multiplicity 1)
Cd 0.500 0.500 0.084 (multiplicity 1)

Top 10 peaks for 2θ = 10–90°, sorted by position:
2θ (°)  I (rel.)  (hkl)
29.8  15  0 0 4
32.0  100  1 1 1
33.6  44  1 0 3
35.2  58  0 1 4
37.2  36  0 2 0
38.5  30  1 1 3
50.9  42  2 0 0
63.4  20  2 1 4
64.7  14  2 2 0
72.5  14  1 2 7



No. 11
TbZn2Cd3: computed X-ray diffraction stick pattern (a wavelength of 1.5418 Å), based on DFT lattice parameters and positions (PBE).

Crystal structure
a = 16.396 Å, b = 4.556 Å, c = 7.282 Å
α = 90.00°, β = 111.16°, γ = 90.00°
Space group C2/m (No. 12)
Unique sites:
Tb 0.118 0.000 0.184 (multiplicity 4)
Zn 0.015 0.500 0.844 (multiplicity 4)
Zn 0.237 0.000 0.659 (multiplicity 4)
Cd 0.068 0.000 0.702 (multiplicity 4)
Cd 0.131 0.500 0.503 (multiplicity 4)
Cd 0.193 0.500 0.935 (multiplicity 4)

Top 10 peaks for 2θ = 10–90°, sorted by position:
2θ (°)  I (rel.)  (hkl)
32.5  59  3 1 -2
33.8  96  5 1 -1
35.1  100  1 1 2
35.3  30  5 1 0
38.2  28  4 0 -3
39.6  60  0 2 0
42.1  20  6 0 1
56.2  18  4 2 -3
59.2  16  6 2 1
67.3  21  3 1 4



No. 12
Tb2Zn5Cd: computed X-ray diffraction stick pattern (a wavelength of 1.5418 Å), based on DFT lattice parameters and positions (PBE).

Crystal structure
a = 4.333 Å, b = 16.298 Å, c = 9.070 Å
α = 90.00°, β = 90.00°, γ = 90.00°
Space group Cmcm (No. 63)
Unique sites:
Tb 0.000 0.000 0.000 (multiplicity 4)
Tb 0.000 0.202 0.250 (multiplicity 4)
Zn 0.000 0.186 0.608 (multiplicity 8)
Zn 0.000 0.347 0.520 (multiplicity 8)
Zn 0.000 0.392 0.250 (multiplicity 4)
Cd 0.000 0.447 0.750 (multiplicity 4)

Top 10 peaks for 2θ = 10–90°, sorted by position:
2θ (°)  I (rel.)  (hkl)
29.0  30  1 1 2
33.0  100  1 3 2
34.4  70  1 5 0
36.7  38  1 1 3
38.6  20  0 6 2
39.8  18  0 0 4
41.7  40  2 0 0
44.9  19  0 6 3
62.9  13  2 6 3
67.9  15  1 3 6



No. 13
Tb3Zn4Cd4: computed X-ray diffraction stick pattern (a wavelength of 1.5418 Å), based on DFT lattice parameters and positions (PBE).

Crystal structure
a = 3.556 Å, b = 4.695 Å, c = 14.767 Å
α = 80.98°, β = 83.09°, γ = 90.00°
Space group P-1 (No. 2)
Unique sites:
Tb 0.000 0.000 0.000 (multiplicity 1)
Tb 0.141 0.640 0.719 (multiplicity 2)
Zn 0.316 0.817 0.368 (multiplicity 2)
Zn 0.455 0.455 0.089 (multiplicity 2)
Cd 0.263 0.263 0.474 (multiplicity 2)
Cd 0.408 0.908 0.184 (multiplicity 2)

Top 10 peaks for 2θ = 10–90°, sorted by position:
2θ (°)  I (rel.)  (hkl)
21.0  10  0 1 -1
33.2  45  1 0 4
34.0  100  1 1 -1
38.3  33  0 2 1
39.2  55  0 1 6
51.4  14  2 0 1
51.6  26  1 2 5
54.1  11  1 0 8
65.9  13  2 2 2
66.5  36  2 1 7